# TeMoSeS2Br
Simulated XRD peak list, Cu Kα X-rays. Input: a DFT-relaxed cell (PBE, OQMD).

Principal peaks in the range 2θ from 5° to 70°, by intensity:
2θ/deg	I (rel.)	hkl
12.34	100	0 1 0
13.54	97	0 1 -1
32.64	25	1 -1 2
40.99	25	-2 3 1
45.60	24	0 1 3
18.64	24	-1 1 1
28.15	22	-2 1 1
30.24	19	1 2 -1
34.57	18	2 1 -1
34.40	18	1 -3 0

Crystal structure
a b c (Å): 6.4250 8.1384 8.3202
angles (deg): 105.88 112.57 104.48
Space group P-1 (No. 2)
Symmetry-distinct sites (fractional):
1 Te 0.2089 0.2639 0.2527
2 Mo 0.2795 0.0005 0.0002
3 Se 0.3255 0.9229 0.6986
4 S 0.0162 0.1873 0.9138
5 S 0.3441 0.7257 0.8631
6 Br 0.3922 0.2390 0.6305